Starting from the GGA-PBE geometry in Alexandria, the X-ray diffraction stick pattern of TlCu4Cl7 was simulated for copper Kα.
Neutral-atom scattering factors, no anomalous dispersion.

Peak list (6 most intense, 5° ≤ 2θ ≤ 70°, in order of rising 2θ)
2θ (°)	Rel. int.	(hkl)
20.77	63	1 1 1
22.05	64	3 0 1
22.96	100	2 1 1
26.56	63	4 1 0
28.60	65	0 0 2
45.82	46	8 0 0

Atomic structure:
```
data_TlCu4Cl7
_chemical_formula_sum 'Tl2 Cu8 Cl14'
_cell_length_a 15.840
_cell_length_b 6.321
_cell_length_c 6.242
_cell_angle_alpha 90.00
_cell_angle_beta 90.00
_cell_angle_gamma 90.00
_symmetry_space_group_name_H-M 'P m n 21'
_symmetry_Int_Tables_number 31
loop_
_symmetry_equiv_pos_as_xyz
'x,y,z'
'-x+1/2,-y,z+1/2'
'-x,y,z'
'x+1/2,-y,z+1/2'
loop_
_atom_site_label
_atom_site_type_symbol
_atom_site_fract_x
_atom_site_fract_y
_atom_site_fract_z
Tl1 Tl 0.000 0.138 0.000
Cu1 Cu 0.120 0.661 0.508
Cu2 Cu 0.250 0.174 0.484
Cl1 Cl 0.000 0.811 0.377
Cl2 Cl 0.120 0.730 0.868
Cl3 Cl 0.122 0.315 0.416
Cl4 Cl 0.238 0.825 0.357
```